This entry pairs a crystal structure of CaCeSn6 with its theoretical X-ray powder pattern. Radiation: Cu Kα. Structure: the GGA-PBE geometry in Alexandria.
No peak broadening, texture or thermal motion is included.

Structural model:
```
8
Lattice="4.7244 0.0000 0.0000 0.0000 4.7244 0.0000 0.0000 0.0000 9.5820" Properties=species:S:1:pos:R:3 pbc="T T T"
Ca 0.0000 0.0000 0.0000
Ce 0.0000 0.0000 4.7910
Sn 0.0000 2.3622 2.3945
Sn 0.0000 2.3622 7.1876
Sn 2.3622 0.0000 2.3945
Sn 2.3622 0.0000 7.1876
Sn 2.3622 2.3622 0.0000
Sn 2.3622 2.3622 4.7910
```

Top 8 peaks for 15° ≤ 2θ ≤ 90°, by angle:
32.68 deg, d = 2.740 Å, intensity 100.0
37.55 deg, d = 2.396 Å, intensity 17.3
38.10 deg, d = 2.362 Å, intensity 33.2
54.56 deg, d = 1.682 Å, intensity 23.8
64.69 deg, d = 1.441 Å, intensity 14.5
65.44 deg, d = 1.426 Å, intensity 28.0
68.48 deg, d = 1.370 Å, intensity 12.3
89.92 deg, d = 1.091 Å, intensity 13.0



This entry pairs a crystal structure of SrCa2Ce with its theoretical X-ray powder pattern. Radiation: Cu Kα. Structure: the GGA-PBE geometry in Alexandria.
No peak broadening, texture or thermal motion is included.

Structural model:
```
4
Lattice="3.8680 0.0000 0.0000 0.0000 3.8680 0.0000 0.0000 0.0000 11.2418" Properties=species:S:1:pos:R:3 pbc="T T T"
Sr 0.0000 0.0000 0.0000
Ca 1.9340 1.9340 3.0405
Ca 1.9340 1.9340 8.2013
Ce 0.0000 0.0000 5.6209
```

Top 8 peaks for 15° ≤ 2θ ≤ 90°, by angle:
15.77 deg, d = 5.621 Å, intensity 20.3
22.99 deg, d = 3.868 Å, intensity 16.6
28.00 deg, d = 3.186 Å, intensity 100.0
31.84 deg, d = 2.810 Å, intensity 16.8
32.74 deg, d = 2.735 Å, intensity 33.6
46.32 deg, d = 1.960 Å, intensity 23.1
54.41 deg, d = 1.686 Å, intensity 13.0
55.59 deg, d = 1.653 Å, intensity 27.9



This entry pairs a crystal structure of CaTbCe4 with its theoretical X-ray powder pattern. Radiation: Cu Kα. Structure: the GGA-PBE geometry in Alexandria.
No peak broadening, texture or thermal motion is included.

Structural model:
```
6
Lattice="0.0000 4.5585 4.5585 4.5585 0.0000 4.5585 4.5585 4.5585 0.0000" Properties=species:S:1:pos:R:3 pbc="T T T"
Ca 0.0000 0.0000 0.0000
Tb 6.8378 6.8378 6.8378
Ce 3.4851 3.4851 3.4851
Ce 5.6320 5.6320 3.4851
Ce 5.6320 3.4851 5.6320
Ce 3.4851 5.6320 5.6320
```

Top 8 peaks for 15° ≤ 2θ ≤ 90°, by angle:
16.84 deg, d = 5.264 Å, intensity 30.4
27.67 deg, d = 3.223 Å, intensity 17.8
32.57 deg, d = 2.749 Å, intensity 100.0
34.07 deg, d = 2.632 Å, intensity 51.8
52.13 deg, d = 1.755 Å, intensity 36.3
57.15 deg, d = 1.612 Å, intensity 30.1
68.24 deg, d = 1.374 Å, intensity 19.3
81.01 deg, d = 1.187 Å, intensity 22.9



This entry pairs a crystal structure of CaTbCeY with its theoretical X-ray powder pattern. Radiation: Cu Kα. Structure: the GGA-PBE geometry in Alexandria.
No peak broadening, texture or thermal motion is included.

Structural model:
```
4
Lattice="0.0000 4.0839 4.0839 4.0839 0.0000 4.0839 4.0839 4.0839 0.0000" Properties=species:S:1:pos:R:3 pbc="T T T"
Ca 0.0000 0.0000 0.0000
Tb 6.1259 6.1259 6.1259
Ce 4.0839 4.0839 4.0839
Y 2.0420 2.0420 2.0420
```

Top 8 peaks for 15° ≤ 2θ ≤ 90°, by angle:
18.82 deg, d = 4.716 Å, intensity 16.2
30.97 deg, d = 2.888 Å, intensity 100.0
36.48 deg, d = 2.463 Å, intensity 9.7
44.36 deg, d = 2.042 Å, intensity 18.4
55.08 deg, d = 1.667 Å, intensity 38.4
64.54 deg, d = 1.444 Å, intensity 11.8
73.30 deg, d = 1.291 Å, intensity 16.1
89.87 deg, d = 1.091 Å, intensity 19.7



This entry pairs a crystal structure of CaCeTc with its theoretical X-ray powder pattern. Radiation: Cu Kα. Structure: the GGA-PBE geometry in Alexandria.
No peak broadening, texture or thermal motion is included.

Structural model:
```
6
Lattice="2.7619 -2.4438 0.0000 2.7619 2.4438 0.0000 -1.7431 0.0000 12.0642" Properties=species:S:1:pos:R:3 pbc="T T T"
Ca 0.4845 0.0000 4.4600
Ca 3.2962 0.0000 7.6042
Ce 1.4013 0.0000 1.2755
Ce 2.3795 0.0000 10.7887
Tc -0.0933 0.0000 10.0141
Tc 3.8740 0.0000 2.0501
```

Top 8 peaks for 15° ≤ 2θ ≤ 90°, by angle:
22.10 deg, d = 4.021 Å, intensity 41.3
29.62 deg, d = 3.016 Å, intensity 55.6
31.52 deg, d = 2.838 Å, intensity 66.3
32.76 deg, d = 2.734 Å, intensity 66.4
34.75 deg, d = 2.582 Å, intensity 38.4
36.80 deg, d = 2.442 Å, intensity 100.0
47.94 deg, d = 1.898 Å, intensity 42.8
50.07 deg, d = 1.822 Å, intensity 39.2



This entry pairs a crystal structure of CaCe2Te4 with its theoretical X-ray powder pattern. Radiation: Cu Kα. Structure: the GGA-PBE geometry in Alexandria.
No peak broadening, texture or thermal motion is included.

Structural model:
```
14
Lattice="-4.7624 4.7624 4.8254 4.7624 -4.7624 4.8254 4.7624 4.7624 -4.8254" Properties=species:S:1:pos:R:3 pbc="T T T"
Ca 0.0000 0.0000 0.0000
Ca 0.0000 4.7624 2.4127
Ce 2.3812 -1.1997 3.6191
Ce 3.5627 2.3812 1.2064
Ce 2.3812 5.9621 -1.2064
Ce 1.1997 2.3812 6.0318
Te 4.0452 3.0711 -1.9059
Te 6.4537 0.7172 0.5068
Te 0.7172 3.0711 -0.5068
Te 0.7172 1.6913 2.9195
Te 1.6913 -0.7172 6.7314
Te 4.0452 1.6913 4.3187
Te 3.0711 5.4796 1.9059
Te -1.6913 4.0452 5.3322
```

Top 8 peaks for 15° ≤ 2θ ≤ 90°, by angle:
29.30 deg, d = 3.048 Å, intensity 42.5
29.64 deg, d = 3.014 Å, intensity 100.0
34.95 deg, d = 2.567 Å, intensity 49.0
35.12 deg, d = 2.555 Å, intensity 21.5
35.22 deg, d = 2.548 Å, intensity 34.5
44.37 deg, d = 2.042 Å, intensity 10.9
46.61 deg, d = 1.948 Å, intensity 17.2
59.81 deg, d = 1.546 Å, intensity 21.0



This entry pairs a crystal structure of CaCe6Te8 with its theoretical X-ray powder pattern. Radiation: Cu Kα. Structure: the GGA-PBE geometry in Alexandria.
No peak broadening, texture or thermal motion is included.

Structural model:
```
15
Lattice="0.0000 6.3463 6.3463 6.3463 0.0000 6.3463 6.3463 6.3463 0.0000" Properties=species:S:1:pos:R:3 pbc="T T T"
Ca 0.0000 0.0000 0.0000
Ce 3.1731 3.1731 0.0000
Ce 3.1731 0.0000 3.1731
Ce 6.3463 3.1731 3.1731
Ce 0.0000 3.1731 3.1731
Ce 3.1731 6.3463 3.1731
Ce 3.1731 3.1731 6.3463
Te 3.1731 3.1731 3.1731
Te 6.3463 6.3463 3.2023
Te 6.3463 3.2023 6.3463
Te 9.4902 6.3463 6.3463
Te 3.2023 6.3463 6.3463
Te 6.3463 9.4902 6.3463
Te 6.3463 6.3463 9.4902
Te 9.5194 9.5194 9.5194
```

Top 8 peaks for 15° ≤ 2θ ≤ 90°, by angle:
19.78 deg, d = 4.487 Å, intensity 7.4
28.12 deg, d = 3.173 Å, intensity 100.0
40.19 deg, d = 2.244 Å, intensity 76.1
49.77 deg, d = 1.832 Å, intensity 27.3
58.14 deg, d = 1.587 Å, intensity 12.8
65.81 deg, d = 1.419 Å, intensity 34.9
73.04 deg, d = 1.295 Å, intensity 25.6
86.81 deg, d = 1.122 Å, intensity 8.3



This entry pairs a crystal structure of CaCe2Tl6 with its theoretical X-ray powder pattern. Radiation: Cu Kα. Structure: the GGA-PBE geometry in Alexandria.
No peak broadening, texture or thermal motion is included.

Structural model:
```
9
Lattice="3.8429 -7.4289 0.0000 3.8429 7.4289 0.0000 0.0000 0.0000 4.7610" Properties=species:S:1:pos:R:3 pbc="T T T"
Ca 0.0000 0.0000 0.0000
Ce 3.8429 4.2685 2.3805
Ce 3.8429 -4.2685 2.3805
Tl 2.3055 2.2166 0.0000
Tl 2.3110 0.0000 2.3805
Tl 2.3055 -2.2166 0.0000
Tl 5.3804 2.2166 0.0000
Tl 5.3749 0.0000 2.3805
Tl 5.3804 -2.2166 0.0000
```

Top 8 peaks for 15° ≤ 2θ ≤ 90°, by angle:
23.14 deg, d = 3.843 Å, intensity 29.4
28.48 deg, d = 3.134 Å, intensity 58.5
30.52 deg, d = 2.929 Å, intensity 100.0
32.27 deg, d = 2.774 Å, intensity 83.4
35.56 deg, d = 2.525 Å, intensity 32.2
37.79 deg, d = 2.380 Å, intensity 47.3
38.65 deg, d = 2.329 Å, intensity 41.0
66.67 deg, d = 1.403 Å, intensity 30.0



This entry pairs a crystal structure of Ca3CeTl12 with its theoretical X-ray powder pattern. Radiation: Cu Kα. Structure: the GGA-PBE geometry in Alexandria.
No peak broadening, texture or thermal motion is included.

Structural model:
```
16
Lattice="4.9005 0.0000 0.0000 0.0000 4.9005 0.0000 0.0000 0.0000 19.1975" Properties=species:S:1:pos:R:3 pbc="T T T"
Ca 0.0000 0.0000 0.0000
Ca 0.0000 0.0000 4.8229
Ca 0.0000 0.0000 14.3746
Ce 0.0000 0.0000 9.5987
Tl 0.0000 2.4502 2.4081
Tl 0.0000 2.4502 7.2090
Tl 0.0000 2.4502 11.9884
Tl 0.0000 2.4502 16.7894
Tl 2.4502 0.0000 2.4081
Tl 2.4502 0.0000 7.2090
Tl 2.4502 0.0000 11.9884
Tl 2.4502 0.0000 16.7894
Tl 2.4502 2.4502 0.0000
Tl 2.4502 2.4502 4.8064
Tl 2.4502 2.4502 9.5987
Tl 2.4502 2.4502 14.3911
```

Top 8 peaks for 15° ≤ 2θ ≤ 90°, by angle:
31.85 deg, d = 2.809 Å, intensity 100.0
36.68 deg, d = 2.450 Å, intensity 34.4
37.48 deg, d = 2.400 Å, intensity 16.2
52.84 deg, d = 1.733 Å, intensity 12.2
53.44 deg, d = 1.714 Å, intensity 23.7
63.04 deg, d = 1.475 Å, intensity 28.8
64.11 deg, d = 1.452 Å, intensity 13.7
66.57 deg, d = 1.405 Å, intensity 12.3



This entry pairs a crystal structure of CaCe5Tl6 with its theoretical X-ray powder pattern. Radiation: Cu Kα. Structure: the GGA-PBE geometry in Alexandria.
No peak broadening, texture or thermal motion is included.

Structural model:
```
12
Lattice="-2.4996 4.5866 7.5104 2.4996 -4.5866 7.5104 2.4996 4.5866 -7.5104" Properties=species:S:1:pos:R:3 pbc="T T T"
Ca 0.0000 0.0000 0.0000
Ce 2.4996 0.0000 2.6507
Ce 0.0000 0.0000 5.0823
Ce 0.0000 4.5866 0.0000
Ce 0.0000 0.0000 9.9385
Ce 0.0000 4.5866 4.8597
Tl 2.4996 -2.3314 5.0319
Tl 2.4996 2.2291 0.0000
Tl 0.0000 2.2552 2.4785
Tl 2.4996 2.3314 5.0319
Tl 0.0000 2.3574 7.5104
Tl 0.0000 6.9179 2.4785
```

Top 8 peaks for 15° ≤ 2θ ≤ 90°, by angle:
31.95 deg, d = 2.801 Å, intensity 100.0
35.90 deg, d = 2.501 Å, intensity 36.5
39.29 deg, d = 2.293 Å, intensity 14.3
51.68 deg, d = 1.769 Å, intensity 12.9
54.27 deg, d = 1.690 Å, intensity 22.3
62.02 deg, d = 1.496 Å, intensity 14.4
62.09 deg, d = 1.495 Å, intensity 15.1
66.64 deg, d = 1.403 Å, intensity 12.0



This entry pairs a crystal structure of CaCeTl3 with its theoretical X-ray powder pattern. Radiation: Cu Kα. Structure: the GGA-PBE geometry in Alexandria.
No peak broadening, texture or thermal motion is included.

Structural model:
```
10
Lattice="7.3982 0.0000 0.0000 -3.6991 6.4071 0.0000 0.0000 0.0000 6.7562" Properties=species:S:1:pos:R:3 pbc="T T T"
Ca 0.0000 0.0000 0.0000
Ca 0.0000 0.0000 3.3781
Ce 0.0000 4.2714 1.6891
Ce 3.6991 2.1357 5.0672
Tl 0.0000 2.5482 5.0672
Tl -1.4923 5.1330 5.0672
Tl 2.2068 1.2741 1.6891
Tl 1.4923 5.1330 5.0672
Tl 5.1914 1.2741 1.6891
Tl 3.6991 3.8589 1.6891
```

Top 8 peaks for 15° ≤ 2θ ≤ 90°, by angle:
19.09 deg, d = 4.649 Å, intensity 19.7
26.38 deg, d = 3.378 Å, intensity 39.4
27.85 deg, d = 3.204 Å, intensity 18.0
30.89 deg, d = 2.895 Å, intensity 100.0
37.13 deg, d = 2.422 Å, intensity 17.1
38.74 deg, d = 2.325 Å, intensity 25.3
44.49 deg, d = 2.036 Å, intensity 21.1
49.47 deg, d = 1.842 Å, intensity 27.4



This entry pairs a crystal structure of CaCeTl4 with its theoretical X-ray powder pattern. Radiation: Cu Kα. Structure: the GGA-PBE geometry in Alexandria.
No peak broadening, texture or thermal motion is included.

Structural model:
```
6
Lattice="3.8011 0.0000 0.0000 0.0000 5.1269 0.0000 -0.1814 0.0000 9.0614" Properties=species:S:1:pos:R:3 pbc="T T T"
Ca 0.0000 0.0000 0.0000
Ce -0.0716 2.5634 4.5892
Tl 1.3434 0.0000 3.0342
Tl 1.3346 2.5634 7.6071
Tl 2.2281 0.0000 6.0446
Tl 2.3605 2.5634 1.5560
```

Top 8 peaks for 15° ≤ 2θ ≤ 90°, by angle:
23.41 deg, d = 3.800 Å, intensity 16.6
30.75 deg, d = 2.907 Å, intensity 100.0
31.02 deg, d = 2.883 Å, intensity 48.4
34.46 deg, d = 2.602 Å, intensity 79.0
35.00 deg, d = 2.563 Å, intensity 38.0
46.24 deg, d = 1.963 Å, intensity 16.5
47.46 deg, d = 1.916 Å, intensity 30.2
52.54 deg, d = 1.742 Å, intensity 21.6